# 1
Mg3Pb8: computed PXRD pattern (copper Kα), based on DFT lattice parameters and positions (GGA-PBE).

Principal peaks in the range 2θ from 5° to 70°, by intensity:
28.87 deg, intensity 100; 30.58 deg, intensity 46; 31.49 deg, intensity 44; 28.22 deg, intensity 32; 43.02 deg, intensity 28; 49.46 deg, intensity 27; 58.32 deg, intensity 20; 38.64 deg, intensity 17; 41.17 deg, intensity 14; 18.20 deg, intensity 13

Cell and atoms:
abc: 6.997 6.997 6.997
angles: 88.35 88.35 88.35
Element x y z (fractional)
Mg  0.000  0.500  0.500
Mg  0.500  0.000  0.500
Mg  0.500  0.500  0.000
Pb  0.108  0.711  0.856
Pb  0.144  0.892  0.289
Pb  0.289  0.144  0.892
Pb  0.365  0.365  0.365
Pb  0.635  0.635  0.635
Pb  0.711  0.856  0.108
Pb  0.856  0.108  0.711
Pb  0.892  0.289  0.144

---

# 2
MgPb3: computed PXRD pattern (copper Kα), based on DFT lattice parameters and positions (GGA-PBE).

Principal peaks in the range 2θ from 5° to 70°, by intensity:
31.90 deg, intensity 100; 31.61 deg, intensity 95; 36.21 deg, intensity 70; 53.53 deg, intensity 38; 17.88 deg, intensity 30; 62.62 deg, intensity 28; 38.04 deg, intensity 27; 26.03 deg, intensity 25; 62.10 deg, intensity 23; 52.54 deg, intensity 13

Cell and atoms:
abc: 6.968 9.462 7.065
angles: 90.00 90.00 90.00
Element x y z (fractional)
Mg  0.004  0.250  0.006
Mg  0.496  0.750  0.506
Mg  0.504  0.250  0.494
Mg  0.996  0.750  0.994
Pb  0.001  0.250  0.463
Pb  0.248  0.522  0.248
Pb  0.248  0.978  0.248
Pb  0.252  0.022  0.748
Pb  0.252  0.478  0.748
Pb  0.499  0.750  0.963
Pb  0.501  0.250  0.037
Pb  0.748  0.522  0.252
Pb  0.748  0.978  0.252
Pb  0.752  0.022  0.752
Pb  0.752  0.478  0.752
Pb  0.999  0.750  0.537

---

# 3
Mg2Pb5: computed PXRD pattern (copper Kα), based on DFT lattice parameters and positions (GGA-PBE).

Principal peaks in the range 2θ from 5° to 70°, by intensity:
31.86 deg, intensity 100; 5.45 deg, intensity 60; 35.94 deg, intensity 43; 28.78 deg, intensity 41; 62.06 deg, intensity 31; 60.27 deg, intensity 28; 49.72 deg, intensity 21; 33.18 deg, intensity 16; 51.74 deg, intensity 16; 54.01 deg, intensity 13

Cell and atoms:
abc: 16.392 16.392 16.392
angles: 167.63 167.63 17.53
Element x y z (fractional)
Mg  0.221  0.221  0.000
Mg  0.779  0.779  0.000
Pb  0.078  0.078  0.000
Pb  0.344  0.344  0.000
Pb  0.500  0.500  0.000
Pb  0.656  0.656  0.000
Pb  0.922  0.922  0.000

---

# 4
MgPb3: computed PXRD pattern (copper Kα), based on DFT lattice parameters and positions (GGA-PBE).

Principal peaks in the range 2θ from 5° to 70°, by intensity:
32.06 deg, intensity 100; 36.58 deg, intensity 67; 29.93 deg, intensity 34; 7.40 deg, intensity 33; 63.03 deg, intensity 26; 54.06 deg, intensity 24; 22.33 deg, intensity 22; 51.30 deg, intensity 21; 32.95 deg, intensity 16; 45.10 deg, intensity 15

Cell and atoms:
abc: 12.103 12.103 12.103
angles: 16.11 16.11 16.11
Element x y z (fractional)
Mg  0.000  0.000  0.000
Pb  0.257  0.257  0.257
Pb  0.500  0.500  0.500
Pb  0.743  0.743  0.743

---

# 5
Mg3Pb8: computed PXRD pattern (copper Kα), based on DFT lattice parameters and positions (GGA-PBE).

Principal peaks in the range 2θ from 5° to 70°, by intensity:
25.44 deg, intensity 100; 36.20 deg, intensity 49; 36.36 deg, intensity 48; 44.90 deg, intensity 21; 58.87 deg, intensity 19; 59.09 deg, intensity 18; 52.25 deg, intensity 16; 65.32 deg, intensity 16; 65.01 deg, intensity 9; 65.42 deg, intensity 8

Cell and atoms:
abc: 7.004 7.004 7.004
angles: 89.76 89.76 89.76
Element x y z (fractional)
Mg  0.000  0.500  0.500
Mg  0.500  0.000  0.500
Mg  0.500  0.500  0.000
Pb  0.235  0.763  0.763
Pb  0.237  0.237  0.765
Pb  0.237  0.765  0.237
Pb  0.240  0.240  0.240
Pb  0.760  0.760  0.760
Pb  0.763  0.235  0.763
Pb  0.763  0.763  0.235
Pb  0.765  0.237  0.237

---

# 6
Mg4Pb3: computed PXRD pattern (copper Kα), based on DFT lattice parameters and positions (GGA-PBE).

Principal peaks in the range 2θ from 5° to 70°, by intensity:
32.48 deg, intensity 100; 20.45 deg, intensity 90; 33.81 deg, intensity 87; 37.24 deg, intensity 67; 25.55 deg, intensity 53; 23.01 deg, intensity 48; 40.18 deg, intensity 47; 56.44 deg, intensity 41; 63.35 deg, intensity 29; 40.83 deg, intensity 27

Cell and atoms:
abc: 11.936 11.936 11.936
angles: 163.01 158.66 27.40
Element x y z (fractional)
Mg  0.072  0.072  0.000
Mg  0.214  0.214  0.000
Mg  0.786  0.786  0.000
Mg  0.928  0.928  0.000
Pb  0.352  0.352  0.000
Pb  0.500  0.500  0.000
Pb  0.648  0.648  0.000

---

What is the formula in the fourth record?
MgPb3